[1]
# ScCr2W
Simulated powder diffractogram, λ = 1.5418 Å (Cu Kα). Input: a crystal structure in Alexandria, relaxed with GGA-PBE.
Lines closer than 0.1° are merged.

Crystal structure
```
data_ScCr2W
_cell_length_a 6.238
_cell_length_b 6.238
_cell_length_c 6.238
_cell_angle_alpha 90.00
_cell_angle_beta 90.00
_cell_angle_gamma 90.00
_space_group_name_H-M_alt 'F m -3 m'
_space_group_IT_number 225
_space_group_name_Hall '-F 4 2 3'
loop_
_atom_site_label
_atom_site_type_symbol
_atom_site_fract_x
_atom_site_fract_y
_atom_site_fract_z
Sc1 Sc 0.000 0.000 0.000
Cr1 Cr 0.250 0.250 0.250
W1 W 0.000 0.000 0.500
```

Principal peaks in the range 5 to 70 degrees two-theta, by intensity:
- 2θ 40.92, d 2.205, rel. 1000, (2 2 0)
- 2θ 24.72, d 3.601, rel. 411, (1 1 1)
- 2θ 48.40, d 1.881, rel. 218, (3 1 1)
- 2θ 59.26, d 1.559, rel. 161, (4 0 0)
- 2θ 28.62, d 3.119, rel. 160, (2 0 0)
- 2θ 65.19, d 1.431, rel. 93, (3 3 1)
- 2θ 67.11, d 1.395, rel. 67, (4 2 0)
- 2θ 50.70, d 1.801, rel. 49, (2 2 2)

[2]
# Be2P
Simulated powder diffractogram, λ = 1.5418 Å (Cu Kα). Input: a crystal structure in Alexandria, relaxed with GGA-PBE.
Lines closer than 0.1° are merged.

Crystal structure
```
data_Be2P
_cell_length_a 3.305
_cell_length_b 3.305
_cell_length_c 3.156
_cell_angle_alpha 90.00
_cell_angle_beta 90.00
_cell_angle_gamma 90.00
_space_group_name_H-M_alt 'P 4/m m m'
_space_group_IT_number 123
_space_group_name_Hall '-P 4 2'
loop_
_atom_site_label
_atom_site_type_symbol
_atom_site_fract_x
_atom_site_fract_y
_atom_site_fract_z
Be1 Be 0.000 0.500 0.000
P1 P 0.000 0.000 0.500
```

Principal peaks in the range 5 to 70 degrees two-theta, by intensity:
- 2θ 26.98, d 3.305, rel. 1000, (1 0 0)
- 2θ 48.47, d 1.878, rel. 652, (1 1 1)
- 2θ 39.48, d 2.283, rel. 642, (1 0 1)
- 2θ 55.62, d 1.652, rel. 213, (2 0 0)
- 2θ 62.88, d 1.478, rel. 151, (2 1 0)
- 2θ 28.28, d 3.156, rel. 148, (0 0 1)
- 2θ 65.55, d 1.424, rel. 133, (1 0 2)
- 2θ 38.52, d 2.337, rel. 127, (1 1 0)
- 2θ 58.49, d 1.578, rel. 91, (0 0 2)
- 2θ 63.55, d 1.464, rel. 53, (2 0 1)

[3]
# Rb12HgAu5
Simulated powder diffractogram, λ = 1.5418 Å (Cu Kα). Input: a crystal structure in Alexandria, relaxed with GGA-PBE.
Lines closer than 0.1° are merged.

Crystal structure
```
data_Rb12HgAu5
_cell_length_a 11.484
_cell_length_b 12.126
_cell_length_c 12.875
_cell_angle_alpha 90.00
_cell_angle_beta 90.00
_cell_angle_gamma 90.00
_space_group_name_H-M_alt 'I m m m'
_space_group_IT_number 71
_space_group_name_Hall '-I 2 2'
loop_
_atom_site_label
_atom_site_type_symbol
_atom_site_fract_x
_atom_site_fract_y
_atom_site_fract_z
Rb1 Rb 0.000 0.196 0.221
Rb2 Rb 0.193 0.500 0.172
Rb3 Rb 0.217 0.325 0.500
Hg1 Hg 0.000 0.000 0.500
Au1 Au 0.000 0.000 0.000
Au2 Au 0.000 0.374 0.000
Au3 Au 0.000 0.500 0.388
```

Principal peaks in the range 5 to 70 degrees two-theta, by intensity:
- 2θ 25.45, d 3.499, rel. 1000, (2 2 2)
- 2θ 27.18, d 3.281, rel. 825, (1 3 2)
- 2θ 26.96, d 3.307, rel. 715, (2 1 3)
- 2θ 27.87, d 3.201, rel. 679, (2 3 1)
- 2θ 15.43, d 5.742, rel. 637, (2 0 0)
- 2θ 47.65, d 1.909, rel. 628, (5 3 2)
- 2θ 31.15, d 2.871, rel. 453, (4 0 0)
- 2θ 31.31, d 2.857, rel. 428, (3 0 3)
- 2θ 13.76, d 6.438, rel. 421, (0 0 2)
- 2θ 14.61, d 6.063, rel. 343, (0 2 0)

[4]
# CsLiIn2I4
Simulated powder diffractogram, λ = 1.5418 Å (Cu Kα). Input: a crystal structure in Alexandria, relaxed with GGA-PBE.
Lines closer than 0.1° are merged.

Crystal structure
```
data_CsLiIn2I4
_cell_length_a 10.089
_cell_length_b 10.102
_cell_length_c 14.329
_cell_angle_alpha 90.00
_cell_angle_beta 90.00
_cell_angle_gamma 90.00
_space_group_name_H-M_alt 'I m m a'
_space_group_IT_number 74
_space_group_name_Hall '-I 2b 2'
loop_
_atom_site_label
_atom_site_type_symbol
_atom_site_fract_x
_atom_site_fract_y
_atom_site_fract_z
Cs1 Cs 0.250 0.250 0.250
Li1 Li 0.000 0.000 0.000
In1 In 0.000 0.000 0.500
In2 In 0.250 0.250 0.750
I1 I 0.000 0.018 0.804
I2 I 0.240 0.250 0.509
```

Principal peaks in the range 5 to 70 degrees two-theta, by intensity:
- 2θ 24.93, d 3.572, rel. 1000, (2 2 0)
- 2θ 35.53, d 2.526, rel. 656, (4 0 0)
- 2θ 57.74, d 1.597, rel. 217, (6 2 0)
- 2θ 20.57, d 4.317, rel. 197, (1 0 3)
- 2θ 43.88, d 2.063, rel. 195, (0 4 4)
- 2θ 27.17, d 3.282, rel. 166, (1 2 3)
- 2θ 30.60, d 2.921, rel. 124, (0 2 4)
- 2θ 63.84, d 1.458, rel. 122, (2 6 4)
- 2θ 37.22, d 2.416, rel. 117, (3 2 3)
- 2θ 51.19, d 1.785, rel. 99, (4 4 0)

[5]
# LiTlPb
Simulated powder diffractogram, λ = 1.5418 Å (Cu Kα). Input: a crystal structure in Alexandria, relaxed with GGA-PBE.
Lines closer than 0.1° are merged.

Crystal structure
```
data_LiTlPb
_cell_length_a 4.738
_cell_length_b 6.096
_cell_length_c 6.596
_cell_angle_alpha 114.70
_cell_angle_beta 91.25
_cell_angle_gamma 111.89
_space_group_name_H-M_alt 'P 1'
_space_group_IT_number 1
loop_
_space_group_symop_operation_xyz
'x,y,z'
loop_
_atom_site_label
_atom_site_type_symbol
_atom_site_fract_x
_atom_site_fract_y
_atom_site_fract_z
Li1 Li 0.000 0.000 0.000
Li2 Li 0.335 0.656 0.180
Tl1 Tl 0.343 0.682 0.693
Tl2 Tl 0.637 0.279 0.314
Pb1 Pb 0.692 0.365 0.861
Pb2 Pb 0.991 0.971 0.495
```

Principal peaks in the range 5 to 70 degrees two-theta, by intensity:
- 2θ 33.19, d 2.699, rel. 1000, (1 0 -2)
- 2θ 32.87, d 2.725, rel. 951, (1 -2 0)
- 2θ 32.62, d 2.745, rel. 944, (1 1 0)
- 2θ 33.83, d 2.649, rel. 942, (1 -1 2)
- 2θ 34.77, d 2.580, rel. 870, (0 2 -2)
- 2θ 37.99, d 2.368, rel. 709, (2 -1 0)
- 2θ 28.22, d 3.163, rel. 684, (0 1 1)
- 2θ 15.13, d 5.857, rel. 662, (0 0 1)
- 2θ 23.45, d 3.794, rel. 476, (1 -1 1)
- 2θ 30.16, d 2.963, rel. 445, (1 1 -1)

[6]
# Ho12Tm7Mg
Simulated powder diffractogram, λ = 1.5418 Å (Cu Kα). Input: a crystal structure in Alexandria, relaxed with GGA-PBE.
Lines closer than 0.1° are merged.

Crystal structure
```
data_Ho12Tm7Mg
_cell_length_a 11.7834
_cell_length_b 11.7834
_cell_length_c 15.7168
_cell_angle_alpha 90.00
_cell_angle_beta 90.00
_cell_angle_gamma 120.00
_space_group_name_H-M_alt 'R -3'
_space_group_IT_number 148
_space_group_name_Hall '-R 3'
loop_
_atom_site_label
_atom_site_type_symbol
_atom_site_fract_x
_atom_site_fract_y
_atom_site_fract_z
Ho1 Ho 0.0312 0.5744 0.2194
Ho2 Ho 0.0534 0.4666 0.5837
Tm1 Tm 0.0000 0.0000 0.0000
Tm2 Tm 0.0557 0.8658 0.2937
Mg1 Mg 0.0000 0.0000 0.5000
```

Principal peaks in the range 5 to 70 degrees two-theta, by intensity:
- 2θ 32.13, d 2.785, rel. 1000, (1 3 1)
- 2θ 32.53, d 2.752, rel. 492, (3 -1 4)
- 2θ 33.66, d 2.663, rel. 438, (4 -1 2)
- 2θ 31.35, d 2.853, rel. 411, (0 3 3)
- 2θ 33.48, d 2.676, rel. 279, (2 0 5)
- 2θ 29.74, d 3.004, rel. 213, (0 1 5)
- 2θ 22.71, d 3.915, rel. 159, (2 -1 3)
- 2θ 52.26, d 1.751, rel. 134, (1 2 8)
- 2θ 54.05, d 1.697, rel. 131, (1 4 6)
- 2θ 56.05, d 1.641, rel. 128, (7 -4 2)